This entry pairs a crystal structure of Sn4Pd7Pt6 with its theoretical X-ray diffraction stick pattern. Radiation: Cu Kα (weighted mean of Kα1 and Kα2). Structure: a cell relaxed with GGA-PBE.

The 12 most intense peaks (5 to 70 degrees two-theta), in order of rising 2θ:
2θ 21.06, I = 7.0; 2θ 25.86, I = 8.8; 2θ 33.58, I = 21.2; 2θ 36.90, I = 100.0; 2θ 39.98, I = 4.8; 2θ 42.87, I = 58.4; 2θ 45.61, I = 18.4; 2θ 50.75, I = 11.7; 2θ 55.53, I = 3.4; 2θ 60.05, I = 9.4; 2θ 62.24, I = 30.4; 2θ 64.38, I = 6.8

Structure:
a = 7.3079 Å, b = 7.3079 Å, c = 7.3079 Å
α = 109.47°, β = 109.47°, γ = 109.47°
Positions (direct):
Sn  0.0000  0.0000  0.5000
Sn  0.0000  0.5000  0.0000
Sn  0.5000  0.0000  0.0000
Sn  0.5000  0.5000  0.5000
Pd  0.0000  0.0000  0.0000
Pd  0.2500  0.5000  0.7500
Pd  0.2500  0.7500  0.5000
Pd  0.5000  0.2500  0.7500
Pd  0.5000  0.7500  0.2500
Pd  0.7500  0.2500  0.5000
Pd  0.7500  0.5000  0.2500
Pt  0.0000  0.2984  0.2984
Pt  0.0000  0.7016  0.7016
Pt  0.2984  0.0000  0.2984
Pt  0.2984  0.2984  0.0000
Pt  0.7016  0.0000  0.7016
Pt  0.7016  0.7016  0.0000